Structure and computed XRD peak list of Mn2HgH (a crystal structure in Alexandria, relaxed with PBE; Cu Kα).
No peak broadening, texture or thermal motion is included.

The 9 most intense peaks (2θ = 5–70°), in order of rising 2θ:
2θ = 20.06°, rel. 30, (1 1 1)
2θ = 33.04°, rel. 82, (2 2 0)
2θ = 38.96°, rel. 100, (3 1 1)
2θ = 40.76°, rel. 9, (2 2 2)
2θ = 47.42°, rel. 3, (4 0 0)
2θ = 51.98°, rel. 9, (3 3 1)
2θ = 59.01°, rel. 32, (4 2 2)
2θ = 62.99°, rel. 32, (5 1 1)
2θ = 69.32°, rel. 22, (4 4 0)

Cell and atoms:
Lattice parameters (Å, degrees): 7.668 7.668 7.668 90.00 90.00 90.00
Space group Fd-3m (No. 227, origin choice 2)
Inequivalent atoms, fractional coordinates:
Mn 0.000 0.000 0.000 [16 per cell]
Hg 0.125 0.125 0.625 [8 per cell]
H 0.125 0.125 0.125 [8 per cell]